No. 1
For Cr4PN3O16, a DFT-relaxed cell (GGA+U, Alexandria) gives the calculated XRD peak list in this record (Cu Kα X-rays).

Largest 10 diffraction maxima, sorted by position, 2θ = 10–90°:
11.94 deg, intensity 39; 13.91 deg, intensity 22; 18.36 deg, intensity 44; 19.47 deg, intensity 39; 23.11 deg, intensity 100; 24.00 deg, intensity 58; 24.21 deg, intensity 24; 28.02 deg, intensity 29; 30.23 deg, intensity 21; 36.35 deg, intensity 27

Cell lengths 8.076, 8.076, 8.076 Å; angles 104.11, 104.11, 104.11 degrees
Positions (direct):
Cr  0.000  0.000  0.000
Cr  0.375  0.375  0.762
Cr  0.375  0.762  0.375
Cr  0.762  0.375  0.375
P  0.335  0.335  0.335
N  0.496  0.978  0.978
N  0.978  0.496  0.978
N  0.978  0.978  0.496
O  0.077  0.872  0.872
O  0.183  0.183  0.183
O  0.232  0.232  0.813
O  0.232  0.813  0.232
O  0.318  0.318  0.516
O  0.318  0.516  0.318
O  0.370  0.576  0.852
O  0.370  0.852  0.576
O  0.516  0.318  0.318
O  0.576  0.370  0.852
O  0.576  0.852  0.370
O  0.813  0.232  0.232
O  0.852  0.370  0.576
O  0.852  0.576  0.370
O  0.872  0.077  0.872
O  0.872  0.872  0.077

---

No. 2
For CrS2NO8, a DFT-relaxed cell (GGA+U, Alexandria) gives the calculated XRD peak list in this record (Cu Kα X-rays).

Largest 10 diffraction maxima, sorted by position, 2θ = 10–90°:
10.50 deg, intensity 76; 22.72 deg, intensity 100; 29.29 deg, intensity 39; 35.16 deg, intensity 22; 46.39 deg, intensity 15; 47.85 deg, intensity 7; 52.70 deg, intensity 7; 56.12 deg, intensity 11; 59.52 deg, intensity 8; 66.50 deg, intensity 6

Cell lengths 5.105, 5.105, 8.423 Å; angles 90.00, 90.00, 120.00 degrees
Positions (direct):
Cr  0.000  0.000  0.000
S  0.333  0.667  0.204
S  0.667  0.333  0.796
N  0.000  0.000  0.500
O  0.132  0.355  0.143
O  0.223  0.868  0.143
O  0.333  0.667  0.376
O  0.355  0.132  0.857
O  0.645  0.777  0.143
O  0.667  0.333  0.624
O  0.777  0.645  0.857
O  0.868  0.223  0.857